# 1
Structure and calculated powder XRD pattern of TbThAlAu (the PBE geometry in Alexandria; copper Kα).

Most intense lines, 10 to 80 degrees two-theta, in order of rising 2θ:
2θ/deg  d (Å)  I/Imax
20.80  4.271  20
24.06  3.699  8
34.28  2.616  100
40.44  2.231  12
49.27  1.850  18
54.03  1.697  5
61.39  1.510  38
65.57  1.424  4
72.24  1.308  12
76.12  1.251  4

Structural model:
```
TbThAlAu
1.0
7.398 0.000 0.000
0.000 7.398 0.000
0.000 0.000 7.398
Tb Th Al Au
4 4 4 4
direct
0.000 0.000 0.000
0.000 0.500 0.500
0.500 0.000 0.500
0.500 0.500 0.000
0.000 0.000 0.500
0.000 0.500 0.000
0.500 0.000 0.000
0.500 0.500 0.500
0.250 0.250 0.250
0.250 0.750 0.750
0.750 0.250 0.750
0.750 0.750 0.250
0.250 0.250 0.750
0.250 0.750 0.250
0.750 0.250 0.250
0.750 0.750 0.750
```

# 2
Structure and calculated powder XRD pattern of Ta20Te5S3 (the PBE geometry in Alexandria; copper Kα).

Most intense lines, 10 to 80 degrees two-theta, in order of rising 2θ:
2θ/deg  d (Å)  I/Imax
34.79  2.579  58
34.97  2.566  76
35.73  2.513  50
35.89  2.502  85
36.32  2.474  68
36.50  2.461  68
36.67  2.451  40
37.43  2.402  52
37.75  2.383  54
38.54  2.336  100

Structural model:
```
Ta20Te5S3
1.0
7.839 -7.205 0.000
7.839 7.205 0.000
-3.303 0.000 10.007
Ta Te S
40 10 6
direct
0.000 0.500 0.500
0.024 0.814 0.273
0.040 0.128 0.009
0.064 0.936 0.750
0.069 0.645 0.804
0.071 0.394 0.953
0.097 0.748 0.527
0.127 0.555 0.278
0.128 0.040 0.509
0.136 0.349 0.669
0.142 0.247 0.355
0.186 0.976 0.227
0.189 0.699 0.094
0.247 0.142 0.855
0.252 0.903 0.973
0.301 0.811 0.406
0.349 0.136 0.169
0.355 0.931 0.696
0.394 0.071 0.453
0.445 0.873 0.222
0.500 0.000 0.000
0.555 0.127 0.778
0.606 0.929 0.547
0.645 0.069 0.304
0.651 0.864 0.831
0.699 0.189 0.594
0.748 0.097 0.027
0.753 0.858 0.145
0.811 0.301 0.906
0.814 0.024 0.773
0.858 0.753 0.645
0.864 0.651 0.331
0.872 0.960 0.491
0.873 0.445 0.722
0.903 0.252 0.473
0.929 0.606 0.047
0.931 0.355 0.196
0.936 0.064 0.250
0.960 0.872 0.991
0.976 0.186 0.727
0.267 0.488 0.523
0.288 0.493 0.901
0.403 0.597 0.250
0.488 0.267 0.023
0.493 0.288 0.401
0.507 0.712 0.599
0.512 0.733 0.977
0.597 0.403 0.750
0.712 0.507 0.099
0.733 0.512 0.477
0.180 0.321 0.159
0.242 0.758 0.750
0.321 0.180 0.659
0.679 0.820 0.341
0.758 0.242 0.250
0.820 0.679 0.841
```

# 3
Structure and calculated powder XRD pattern of Tb3CdO6 (the PBE geometry in Alexandria; copper Kα).

Most intense lines, 10 to 80 degrees two-theta, in order of rising 2θ:
2θ/deg  d (Å)  I/Imax
29.89  2.990  100
30.27  2.952  20
31.51  2.839  20
31.89  2.806  14
44.62  2.031  13
45.45  1.996  19
50.74  1.799  13
55.10  1.667  15
59.12  1.563  11
60.94  1.520  14

Structural model:
```
Tb3CdO6
1.0
4.512 -5.612 0.000
4.512 5.612 0.000
0.000 0.000 5.678
Tb Cd O
6 2 12
direct
0.101 0.899 0.500
0.190 0.413 0.558
0.413 0.190 0.058
0.587 0.810 0.558
0.810 0.587 0.058
0.899 0.101 0.000
0.335 0.665 0.067
0.665 0.335 0.567
0.071 0.599 0.287
0.142 0.179 0.277
0.179 0.142 0.777
0.278 0.722 0.703
0.401 0.929 0.287
0.486 0.514 0.345
0.514 0.486 0.845
0.599 0.071 0.787
0.722 0.278 0.203
0.821 0.858 0.277
0.858 0.821 0.777
0.929 0.401 0.787
```

# 4
Structure and calculated powder XRD pattern of CrIn (the PBE geometry in Alexandria; copper Kα).

Most intense lines, 10 to 80 degrees two-theta, in order of rising 2θ:
2θ/deg  d (Å)  I/Imax
31.54  2.836  50
31.70  2.823  68
35.27  2.545  27
39.47  2.283  21
39.60  2.276  45
40.49  2.228  100
43.44  2.083  22
61.01  1.519  16
65.40  1.427  14
69.41  1.354  13

Structural model:
```
CrIn
1.0
10.179 0.000 0.000
0.000 10.179 0.000
0.000 0.000 3.086
Cr In
8 8
direct
0.080 0.184 0.000
0.108 0.742 0.500
0.184 0.920 0.000
0.258 0.108 0.500
0.742 0.892 0.500
0.816 0.080 0.000
0.892 0.258 0.500
0.920 0.816 0.000
0.121 0.419 0.500
0.315 0.616 0.000
0.384 0.315 0.000
0.419 0.879 0.500
0.581 0.121 0.500
0.616 0.685 0.000
0.685 0.384 0.000
0.879 0.581 0.500
```

# 5
Structure and calculated powder XRD pattern of Ce4Te5 (the PBE geometry in Alexandria; copper Kα).

Most intense lines, 10 to 80 degrees two-theta, in order of rising 2θ:
2θ/deg  d (Å)  I/Imax
28.68  3.112  100
29.39  3.039  19
30.83  2.900  44
33.46  2.678  57
34.41  2.607  23
35.61  2.521  80
44.59  2.032  31
56.88  1.619  25
58.78  1.571  22
63.11  1.473  22

Structural model:
```
Ce4Te5
1.0
-2.032 4.822 7.260
2.032 -4.822 7.260
2.032 4.822 -7.260
Ce Te
4 5
direct
0.057 0.862 0.194
0.332 0.138 0.194
0.668 0.862 0.806
0.943 0.138 0.806
0.000 0.500 0.500
0.265 0.765 0.500
0.346 0.500 0.846
0.654 0.500 0.154
0.735 0.235 0.500
```

# 6
Structure and calculated powder XRD pattern of HoZnI (the PBE geometry in Alexandria; copper Kα).

Most intense lines, 10 to 80 degrees two-theta, in order of rising 2θ:
2θ/deg  d (Å)  I/Imax
24.36  3.653  43
26.22  3.399  20
29.92  2.986  100
31.48  2.842  22
34.95  2.567  37
36.84  2.440  68
42.64  2.120  68
45.48  1.994  17
64.06  1.454  24
70.25  1.340  16

Structural model:
```
HoZnI
1.0
7.345 0.000 0.000
0.000 4.240 0.000
-2.479 0.000 11.967
Ho Zn I
4 4 4
direct
0.053 0.000 0.157
0.447 0.500 0.843
0.553 0.500 0.157
0.947 0.000 0.843
0.164 0.500 0.993
0.336 0.000 0.007
0.664 0.000 0.993
0.836 0.500 0.007
0.223 0.000 0.674
0.277 0.500 0.326
0.723 0.500 0.674
0.777 0.000 0.326
```